Entry 1:
This entry pairs a crystal structure of K2LiH2Se2O6 with its computed powder X-ray diffraction pattern. Radiation: Cu Kα X-rays. Structure: a cell relaxed with GGA-PBE.
No peak broadening, texture or thermal motion is included.

Top 6 peaks for 2θ from 15° to 90°, by intensity:
Position (°2θ), I_rel, hkl
22.6, 100, 1 -1 1
25.6, 65, -1 1 1
16.2, 48, 0 1 0
27.6, 43, 1 1 -2
25.3, 38, 1 0 1
32.8, 33, 0 2 0

Atomic structure:
```
data_K2LiH2Se2O6
_chemical_formula_sum 'K2 Li1 H2 Se2 O6'
_cell_length_a 5.877
_cell_length_b 6.346
_cell_length_c 7.177
_cell_angle_alpha 115.52
_cell_angle_beta 103.23
_cell_angle_gamma 99.69
_symmetry_space_group_name_H-M 'P 1'
_symmetry_Int_Tables_number 1
loop_
_symmetry_equiv_pos_as_xyz
'x,y,z'
loop_
_atom_site_label
_atom_site_type_symbol
_atom_site_fract_x
_atom_site_fract_y
_atom_site_fract_z
_atom_site_occupancy
K1 K 0.000 0.000 0.000 1
K2 K 0.362 0.829 0.430 1
Li1 Li 0.491 0.328 0.360 1
H1 H 0.529 0.011 0.079 1
H2 H 0.853 0.595 0.334 1
Se1 Se 0.573 0.445 0.983 1
Se2 Se 0.989 0.354 0.586 1
O1 O 0.205 0.349 0.462 1
O2 O 0.386 0.413 0.124 1
O3 O 0.488 0.999 0.199 1
O4 O 0.614 0.165 0.857 1
O5 O 0.842 0.560 0.558 1
O6 O 0.868 0.626 0.211 1
```

=====

Entry 2:
This entry pairs a crystal structure of K2LiH2Se2O6 with its computed powder X-ray diffraction pattern. Radiation: Cu Kα X-rays. Structure: a cell relaxed with GGA-PBE.
No peak broadening, texture or thermal motion is included.

Top 6 peaks for 2θ from 15° to 90°, by intensity:
Position (°2θ), I_rel, hkl
24.2, 100, 1 -1 1
17.8, 82, 1 0 -1
22.7, 56, 0 1 1
30.3, 54, -1 1 2
27.6, 37, 1 1 0
20.1, 34, 1 -1 0

Atomic structure:
```
data_K2LiH2Se2O6
_chemical_formula_sum 'K2 Li1 H2 Se2 O6'
_cell_length_a 5.347
_cell_length_b 6.075
_cell_length_c 8.167
_cell_angle_alpha 103.47
_cell_angle_beta 106.82
_cell_angle_gamma 102.50
_symmetry_space_group_name_H-M 'P 1'
_symmetry_Int_Tables_number 1
loop_
_symmetry_equiv_pos_as_xyz
'x,y,z'
loop_
_atom_site_label
_atom_site_type_symbol
_atom_site_fract_x
_atom_site_fract_y
_atom_site_fract_z
_atom_site_occupancy
K1 K 0.000 0.000 0.000 1
K2 K 0.233 0.786 0.667 1
Li1 Li 0.565 0.591 0.462 1
H1 H 0.261 0.309 0.736 1
H2 H 0.712 0.467 0.730 1
Se1 Se 0.526 0.542 0.051 1
Se2 Se 0.787 0.137 0.410 1
O1 O 0.126 0.305 0.521 1
O2 O 0.319 0.272 0.854 1
O3 O 0.386 0.754 0.006 1
O4 O 0.408 0.444 0.201 1
O5 O 0.721 0.938 0.521 1
O6 O 0.726 0.618 0.706 1
```

=====

Entry 3:
This entry pairs a crystal structure of K2LiH2Se2O6 with its computed powder X-ray diffraction pattern. Radiation: Cu Kα X-rays. Structure: a cell relaxed with GGA-PBE.
No peak broadening, texture or thermal motion is included.

Top 6 peaks for 2θ from 15° to 90°, by intensity:
Position (°2θ), I_rel, hkl
31.8, 100, 0 2 -1
26.5, 99, 1 0 -2
22.3, 59, -1 1 1
16.1, 54, 0 1 0
27.5, 51, 1 1 0
29.8, 44, 1 1 -2

Atomic structure:
```
data_K2LiH2Se2O6
_chemical_formula_sum 'K2 Li1 H2 Se2 O6'
_cell_length_a 5.870
_cell_length_b 5.882
_cell_length_c 6.901
_cell_angle_alpha 98.73
_cell_angle_beta 113.69
_cell_angle_gamma 103.49
_symmetry_space_group_name_H-M 'P 1'
_symmetry_Int_Tables_number 1
loop_
_symmetry_equiv_pos_as_xyz
'x,y,z'
loop_
_atom_site_label
_atom_site_type_symbol
_atom_site_fract_x
_atom_site_fract_y
_atom_site_fract_z
_atom_site_occupancy
K1 K 0.000 0.000 0.000 1
K2 K 0.361 0.618 0.348 1
Li1 Li 0.209 0.000 0.649 1
H1 H 0.580 0.116 0.131 1
H2 H 0.854 0.702 0.430 1
Se1 Se 0.569 0.445 0.911 1
Se2 Se 0.875 0.257 0.520 1
O1 O 0.112 0.214 0.447 1
O2 O 0.293 0.431 0.948 1
O3 O 0.559 0.139 0.896 1
O4 O 0.566 0.092 0.272 1
O5 O 0.836 0.607 0.157 1
O6 O 0.899 0.756 0.588 1
```